For Pr3Mg3GaAgAu, the PBE geometry in OQMD gives the computed X-ray powder pattern in this record (Cu Kα X-rays).
Intensities are scaled so that the largest is 100.

Crystal structure
```
data_Pr3Mg3GaAgAu
_symmetry_space_group_name_H-M 'P -6'
_symmetry_Int_Tables_number 174
_cell_length_a 7.6529
_cell_length_b 7.6529
_cell_length_c 4.4557
_cell_angle_alpha 90.00
_cell_angle_beta 90.00
_cell_angle_gamma 120.00
loop_
_symmetry_equiv_pos_as_xyz
'x,y,z'
'-x+y,-x,-z'
'-y,x-y,z'
'x,y,-z'
'-x+y,-x,z'
'-y,x-y,-z'
loop_
_atom_site_label
_atom_site_type_symbol
_atom_site_fract_x
_atom_site_fract_y
_atom_site_fract_z
Pr1 Pr 0.0887 0.7522 0.0000
Mg1 Mg 0.4244 0.0910 0.5000
Ga1 Ga 0.3333 0.6667 0.5000
Ag1 Ag 0.6667 0.3333 0.0000
Au1 Au 0.0000 0.0000 0.5000
```

Top 8 peaks for 2θ from 5° to 70°, low angle first:
- hkl 1 0 0, 2θ = 13.36°, d = 6.628 Å, intensity 26
- hkl 1 1 0, 2θ = 23.25°, d = 3.826 Å, intensity 30
- hkl 1 1 1, 2θ = 30.80°, d = 2.903 Å, intensity 71
- hkl 2 0 1, 2θ = 33.71°, d = 2.659 Å, intensity 100
- hkl 2 1 0, 2θ = 35.85°, d = 2.505 Å, intensity 22
- hkl 0 0 2, 2θ = 40.49°, d = 2.228 Å, intensity 24
- hkl 3 0 0, 2θ = 40.85°, d = 2.209 Å, intensity 24
- hkl 1 2 1, 2θ = 41.35°, d = 2.184 Å, intensity 26